Starting from a GGA+U-relaxed structure, the PXRD pattern of Co2GeMoO6 was computed for copper Kα.
Neutral-atom scattering factors, no anomalous dispersion.

Peak list (10 most intense, 5 to 70 degrees two-theta, low angle first)
two_theta	intensity
23.91	538
32.61	1000
35.48	932
38.32	79
40.50	131
48.96	371
53.21	669
57.13	70
61.91	333
63.72	335

Cell: 5.0596 5.0596 14.0934 Å, 90.00 90.00 120.00°
Space group R3 (No. 146, hexagonal axes)
One atom of each set of equivalent atoms:
Co1 0.0000 0.0000 0.0000 (multiplicity 3)
Co2 0.0000 0.0000 0.4825 (multiplicity 3)
Ge1 0.0000 0.0000 0.6863 (multiplicity 3)
Mo1 0.0000 0.0000 0.1956 (multiplicity 3)
O1 0.0213 0.6420 0.2666 (multiplicity 9)
O2 0.0349 0.3478 0.7523 (multiplicity 9)